(1)
For La3WCl3O6, the PBE+U geometry in the Materials Project gives the calculated powder diffraction line list in this record (Cu Kα X-rays).
Neutral-atom scattering factors, no anomalous dispersion.

Most intense lines, 2θ from 10° to 90°, in order of rising 2θ:
2theta	I (rel.)
10.74	552
24.78	505
27.07	563
28.68	326
32.63	473
33.09	1000
43.99	436
51.13	330

Cell and atoms:
```
data_La3WCl3O6
_chemical_formula_sum 'La6 W2 Cl6 O12'
_symmetry_space_group_name_H-M 'P 63/m'
_symmetry_Int_Tables_number 176
_symmetry_space_group_name_Hall '-P 6c'
_cell_length_a 9.5091
_cell_length_b 9.5091
_cell_length_c 5.4871
_cell_angle_alpha 90.00
_cell_angle_beta 90.00
_cell_angle_gamma 120.00
loop_
_atom_site_label
_atom_site_fract_x
_atom_site_fract_y
_atom_site_fract_z
La1 0.0895 0.6844 0.2500
W1 0.3333 0.6667 0.7500
Cl1 0.0477 0.8066 0.7500
O1 0.1613 0.5258 0.5202
```


(2)
For SrLiFeF6, the PBE+U geometry in the Materials Project gives the calculated powder diffraction line list in this record (Cu Kα X-rays).
Neutral-atom scattering factors, no anomalous dispersion.

Most intense lines, 2θ from 10° to 90°, in order of rising 2θ:
2theta	I (rel.)
20.87	174
21.38	171
21.68	178
25.45	633
26.32	1000
38.38	222
47.82	176
50.11	253

Cell and atoms:
```
data_SrLiFeF6
_chemical_formula_sum 'Sr4 Li4 Fe4 F24'
_symmetry_space_group_name_H-M 'P 1 21/c 1'
_symmetry_Int_Tables_number 14
_cell_length_a 5.3732
_cell_length_b 8.9229
_cell_length_c 10.3854
_cell_angle_alpha 90.00
_cell_angle_beta 92.17
_cell_angle_gamma 90.00
loop_
_symmetry_equiv_pos_as_xyz
'x,y,z'
'-x,-y,-z'
'-x,y+1/2,-z+1/2'
'x,-y+1/2,z+1/2'
loop_
_atom_site_label
_atom_site_fract_x
_atom_site_fract_y
_atom_site_fract_z
Sr1 0.2461 0.2084 0.4966
Li1 0.2870 0.5788 0.7400
Fe1 0.2167 0.5847 0.2594
F1 0.0064 0.0385 0.6388
F2 0.0845 0.0930 0.1424
F3 0.1170 0.7444 0.6489
F4 0.3745 0.0811 0.8538
F5 0.3930 0.7349 0.3610
F6 0.4921 0.5483 0.1403
```


(3)
For Li5Fe8B8O24, the PBE+U geometry in the Materials Project gives the calculated powder diffraction line list in this record (Cu Kα X-rays).
Neutral-atom scattering factors, no anomalous dispersion.

Most intense lines, 2θ from 10° to 90°, in order of rising 2θ:
2theta	I (rel.)
19.45	268
19.65	525
21.53	1000
25.97	432
33.92	201
34.27	497
35.36	679
40.27	182

Cell and atoms:
```
data_Li5Fe8B8O24
_chemical_formula_sum 'Li5 Fe8 B8 O24'
_symmetry_space_group_name_H-M 'P 1'
_symmetry_Int_Tables_number 1
_cell_length_a 5.2880
_cell_length_b 9.0342
_cell_length_c 11.3512
_cell_angle_alpha 66.72
_cell_angle_beta 77.85
_cell_angle_gamma 89.85
loop_
_symmetry_equiv_pos_as_xyz
'x,y,z'
loop_
_atom_site_label
_atom_site_fract_x
_atom_site_fract_y
_atom_site_fract_z
Li1 0.0000 0.0000 0.0000
Li2 0.0575 0.3673 0.2507
Li3 0.2525 0.2504 0.4946
Li4 0.3165 0.6381 0.7438
Li5 0.5050 0.5010 0.9974
Fe1 0.0460 0.0251 0.2673
Fe2 0.2338 0.5672 0.5279
Fe3 0.2896 0.9552 0.7782
Fe4 0.4982 0.1443 0.0260
Fe5 0.5548 0.5403 0.2696
Fe6 0.7378 0.0594 0.5303
Fe7 0.8005 0.4368 0.7795
Fe8 0.9883 0.6566 0.0221
B1 0.0460 0.6894 0.2753
B2 0.2376 0.9083 0.5236
B3 0.2899 0.2842 0.7798
B4 0.4974 0.8151 0.0254
B5 0.5262 0.1927 0.2799
B6 0.7446 0.3962 0.5260
B7 0.7870 0.7697 0.7773
B8 0.9903 0.3138 0.0368
O1 0.0208 0.9526 0.4681
O2 0.0250 0.7599 0.8135
O3 0.0842 0.1584 0.0716
O4 0.1273 0.4345 0.0478
O5 0.1524 0.1541 0.7846
O6 0.2024 0.4413 0.7269
O7 0.2517 0.6461 0.3372
O8 0.2617 0.8364 0.9855
O9 0.3208 0.7596 0.5519
O10 0.3578 0.0245 0.5525
O11 0.3975 0.3172 0.2955
O12 0.4164 0.0875 0.2385
O13 0.5026 0.4228 0.4949
O14 0.5084 0.2698 0.8298
O15 0.5862 0.6595 0.0655
O16 0.6385 0.6329 0.7993
O17 0.6414 0.9408 0.0237
O18 0.6916 0.9210 0.7180
O19 0.7590 0.3359 0.9965
O20 0.7723 0.1632 0.3133
O21 0.8627 0.4991 0.5651
O22 0.8707 0.2653 0.5142
O23 0.9451 0.5810 0.2335
O24 0.9468 0.8347 0.2561
```